No. 1
Structure and calculated PXRD pattern of HPt2 (a structure optimized by DFT (GGA-PBE); Cu Ka).
Peak positions follow from Bragg's law for the DFT cell and can differ from measured ones.

The 10 most intense peaks (10° ≤ 2θ ≤ 90°), by angle:
d (Å)	2θ (°)	Rel. int.
4.573	19.4	100
2.388	37.7	56
2.287	39.4	66
1.980	45.8	32
1.817	50.2	25
1.524	60.8	19
1.400	66.8	22
1.339	70.3	19
1.194	80.4	26
1.109	88.1	11

abc: 5.601 5.601 5.601
angles: 60.00 60.00 60.00
Fractional coordinates of all 6 atoms:
H 0.125 0.125 0.125
H 0.875 0.875 0.875
Pt 0.000 0.000 0.000
Pt 0.000 0.000 0.500
Pt 0.000 0.500 0.000
Pt 0.500 0.000 0.000


No. 2
Structure and calculated PXRD pattern of Er3AsS2 (a structure optimized by DFT (GGA-PBE); Cu Ka).
Peak positions follow from Bragg's law for the DFT cell and can differ from measured ones.

The 10 most intense peaks (10° ≤ 2θ ≤ 90°), by angle:
d (Å)	2θ (°)	Rel. int.
3.215	27.7	58
2.785	32.1	100
1.970	46.1	61
1.966	46.2	12
1.679	54.7	28
1.609	57.2	13
1.606	57.4	13
1.246	76.5	27
1.138	85.3	13
1.136	85.5	12

abc: 6.813 6.813 6.813
angles: 146.36 131.73 60.12
Fractional coordinates of all 6 atoms:
Er 0.000 0.000 0.000
Er 0.331 0.331 0.000
Er 0.669 0.669 0.000
As 0.500 0.000 0.500
S 0.166 0.666 0.500
S 0.834 0.334 0.500


No. 3
Structure and calculated PXRD pattern of Lu3In3CuPt2 (a structure optimized by DFT (GGA-PBE); Cu Ka).
Peak positions follow from Bragg's law for the DFT cell and can differ from measured ones.

The 10 most intense peaks (10° ≤ 2θ ≤ 90°), by angle:
d (Å)	2θ (°)	Rel. int.
2.640	34.0	100
2.519	35.6	49
2.454	36.6	76
2.221	40.6	41
2.069	43.8	19
1.848	49.3	16
1.814	50.3	19
1.472	63.2	18
1.409	66.3	28
1.405	66.5	19

abc: 7.695 7.695 3.628
angles: 90.00 90.00 120.00
Fractional coordinates of all 9 atoms:
Lu 0.000 0.409 0.000
Lu 0.409 0.000 0.000
Lu 0.591 0.591 0.000
In 0.000 0.742 0.500
In 0.258 0.258 0.500
In 0.742 0.000 0.500
Cu 0.000 0.000 0.000
Pt 0.333 0.667 0.500
Pt 0.667 0.333 0.500


No. 4
Structure and calculated PXRD pattern of TbTm2Si4Ag4 (a structure optimized by DFT (GGA-PBE); Cu Ka).
Peak positions follow from Bragg's law for the DFT cell and can differ from measured ones.

The 10 most intense peaks (10° ≤ 2θ ≤ 90°), by angle:
d (Å)	2θ (°)	Rel. int.
3.215	27.8	18
3.136	28.5	31
2.644	33.9	100
2.615	34.3	32
2.523	35.6	89
2.348	38.3	30
2.336	38.5	35
2.110	42.9	38
2.087	43.3	40
1.484	62.6	26

abc: 8.145 8.145 8.145
angles: 149.98 129.18 60.16
Fractional coordinates of all 11 atoms:
Tb 0.000 0.000 0.000
Tm 0.376 0.876 0.500
Tm 0.624 0.124 0.500
Si 0.217 0.217 0.000
Si 0.325 0.500 0.825
Si 0.675 0.500 0.175
Si 0.783 0.783 0.000
Ag 0.030 0.331 0.699
Ag 0.368 0.669 0.699
Ag 0.632 0.331 0.301
Ag 0.970 0.669 0.301